# SrSmAlO4
Simulated powder diffraction line list, Cu Kα X-rays. Input: a cell relaxed with PBE.
No peak broadening, texture or thermal motion is included.

Structure:
```
SrSmAlO4
1.0
3.755 0.000 0.000
0.000 3.755 0.000
0.000 0.000 12.355
Sr Sm Al O
2 2 2 8
direct
0.000 0.000 0.000
0.500 0.500 0.500
0.000 0.000 0.716
0.500 0.500 0.216
0.000 0.000 0.358
0.500 0.500 0.858
0.000 0.000 0.195
0.000 0.000 0.523
0.000 0.500 0.348
0.000 0.500 0.848
0.500 0.000 0.348
0.500 0.000 0.848
0.500 0.500 0.023
0.500 0.500 0.695
```

Principal peaks in the range 10° ≤ 2θ ≤ 80°, by angle:
- 2θ 14.3, I 165
- 2θ 24.8, I 584
- 2θ 28.9, I 236
- 2θ 32.3, I 1000
- 2θ 33.8, I 721
- 2θ 45.0, I 520
- 2θ 48.5, I 386
- 2θ 57.7, I 167
- 2θ 59.4, I 369
- 2θ 67.5, I 204

=====

# Al2Sn2O7
Simulated powder diffraction line list, Cu Kα X-rays. Input: a cell relaxed with PBE.
No peak broadening, texture or thermal motion is included.

Structure:
```
Al2Sn2O7
1.0
0.000 4.970 4.970
4.970 0.000 4.970
4.970 4.970 0.000
Al Sn O
4 4 14
direct
0.000 0.000 0.000
0.000 0.000 0.500
0.000 0.500 0.000
0.500 0.000 0.000
0.000 0.500 0.500
0.500 0.000 0.500
0.500 0.500 0.000
0.500 0.500 0.500
0.125 0.125 0.125
0.144 0.144 0.606
0.144 0.606 0.144
0.144 0.606 0.606
0.394 0.394 0.856
0.394 0.856 0.394
0.394 0.856 0.856
0.606 0.144 0.144
0.606 0.144 0.606
0.606 0.606 0.144
0.856 0.394 0.394
0.856 0.394 0.856
0.856 0.856 0.394
0.875 0.875 0.875
```

Principal peaks in the range 10° ≤ 2θ ≤ 80°, by angle:
- 2θ 15.4, I 464
- 2θ 29.8, I 451
- 2θ 31.2, I 1000
- 2θ 36.1, I 196
- 2θ 47.5, I 144
- 2θ 52.0, I 622
- 2θ 54.6, I 122
- 2θ 61.9, I 435
- 2θ 73.1, I 117
- 2θ 76.7, I 92

=====

# Sr2YAlSn2O7
Simulated powder diffraction line list, Cu Kα X-rays. Input: a cell relaxed with PBE.
No peak broadening, texture or thermal motion is included.

Structure:
```
Sr2YAlSn2O7
1.0
-10.627 3.471 2.946
10.627 -3.471 2.946
10.627 3.471 -2.946
Sr Y Al Sn O
4 2 2 4 14
direct
0.072 0.162 0.234
0.072 0.338 0.411
0.928 0.662 0.589
0.928 0.838 0.766
0.052 0.052 0.000
0.052 0.552 0.500
0.377 0.734 0.143
0.591 0.234 0.857
0.515 0.598 0.076
0.515 0.939 0.418
0.522 0.098 0.582
0.522 0.439 0.924
0.372 0.933 0.939
0.394 0.238 0.299
0.394 0.595 0.656
0.478 0.213 0.633
0.478 0.345 0.765
0.579 0.713 0.235
0.579 0.845 0.367
0.741 0.274 0.310
0.741 0.931 0.966
0.939 0.095 0.701
0.939 0.738 0.344
0.964 0.431 0.690
0.964 0.774 0.034
0.995 0.433 0.061
```

Principal peaks in the range 10° ≤ 2θ ≤ 80°, by angle:
- 2θ 25.7, I 390
- 2θ 30.3, I 365
- 2θ 32.2, I 1000
- 2θ 39.4, I 149
- 2θ 40.1, I 284
- 2θ 49.5, I 202
- 2θ 51.6, I 102
- 2θ 54.9, I 113
- 2θ 55.1, I 237
- 2θ 67.3, I 118

=====

# Sr12Al14O33
Simulated powder diffraction line list, Cu Kα X-rays. Input: a cell relaxed with PBE.
No peak broadening, texture or thermal motion is included.

Structure:
```
Sr12Al14O33
1.0
-6.233 6.233 6.196
6.233 -6.233 6.196
6.233 6.233 -6.196
Sr Al O
12 14 33
direct
0.020 0.520 0.500
0.122 0.737 0.105
0.132 0.273 0.649
0.183 0.183 0.000
0.263 0.368 0.385
0.480 0.980 0.500
0.517 0.868 0.140
0.624 0.483 0.351
0.632 0.018 0.895
0.727 0.376 0.860
0.817 0.817 0.000
0.982 0.878 0.615
0.125 0.001 0.377
0.252 0.875 0.876
0.342 0.125 0.753
0.373 0.589 0.247
0.377 0.091 0.252
0.411 0.658 0.784
0.500 0.500 0.000
0.624 0.748 0.623
0.750 0.250 0.500
0.839 0.125 0.748
0.875 0.623 0.713
0.875 0.627 0.216
0.909 0.161 0.287
0.999 0.376 0.124
0.000 0.000 0.000
0.061 0.724 0.740
0.068 0.136 0.370
0.182 0.039 0.566
0.189 0.429 0.166
0.249 0.499 0.618
0.263 0.023 0.834
0.276 0.016 0.337
0.302 0.932 0.068
0.369 0.751 0.250
0.372 0.312 0.845
0.385 0.818 0.857
0.388 0.259 0.263
0.467 0.526 0.155
0.473 0.615 0.434
0.474 0.628 0.940
0.501 0.119 0.750
0.561 0.112 0.353
0.571 0.737 0.760
0.679 0.939 0.663
0.688 0.533 0.060
0.741 0.004 0.129
0.759 0.208 0.647
0.767 0.698 0.630
0.792 0.439 0.551
0.864 0.233 0.932
0.875 0.612 0.871
0.881 0.631 0.382
0.888 0.241 0.449
0.961 0.527 0.143
0.977 0.811 0.240
0.984 0.321 0.260
0.996 0.125 0.737
```

Principal peaks in the range 10° ≤ 2θ ≤ 80°, by angle:
- 2θ 17.5, I 1000
- 2θ 26.8, I 594
- 2θ 28.6, I 238
- 2θ 32.1, I 951
- 2θ 32.3, I 279
- 2θ 33.8, I 193
- 2θ 35.3, I 263
- 2θ 39.6, I 278
- 2θ 39.8, I 181
- 2θ 44.9, I 254

=====

# Sr7Al12O25
Simulated powder diffraction line list, Cu Kα X-rays. Input: a cell relaxed with PBE.
No peak broadening, texture or thermal motion is included.

Structure:
```
Sr7Al12O25
1.0
9.161 5.289 2.310
-9.161 5.289 2.310
0.000 -10.578 2.310
Sr Al O
7 12 25
direct
0.000 0.000 0.000
0.036 0.084 0.447
0.084 0.447 0.036
0.127 0.553 0.504
0.447 0.036 0.084
0.504 0.127 0.553
0.553 0.504 0.127
0.015 0.731 0.258
0.258 0.015 0.731
0.320 0.562 0.853
0.562 0.853 0.320
0.628 0.917 0.666
0.640 0.913 0.950
0.666 0.628 0.917
0.731 0.258 0.015
0.853 0.320 0.562
0.913 0.950 0.640
0.917 0.666 0.628
0.950 0.640 0.913
0.051 0.363 0.604
0.067 0.801 0.896
0.126 0.802 0.184
0.151 0.807 0.693
0.184 0.126 0.802
0.215 0.971 0.532
0.363 0.604 0.051
0.407 0.467 0.792
0.439 0.789 0.922
0.467 0.792 0.407
0.492 0.800 0.699
0.532 0.215 0.971
0.604 0.051 0.363
0.693 0.151 0.807
0.694 0.694 0.694
0.699 0.492 0.800
0.789 0.922 0.439
0.792 0.407 0.467
0.800 0.699 0.492
0.801 0.896 0.067
0.802 0.184 0.126
0.807 0.693 0.151
0.896 0.067 0.801
0.922 0.439 0.789
0.971 0.532 0.215
```

Principal peaks in the range 10° ≤ 2θ ≤ 80°, by angle:
- 2θ 19.6, I 512
- 2θ 25.7, I 284
- 2θ 27.7, I 1000
- 2θ 28.1, I 524
- 2θ 29.2, I 530
- 2θ 31.0, I 300
- 2θ 36.8, I 287
- 2θ 42.7, I 380
- 2θ 43.1, I 609
- 2θ 47.3, I 279